Entry 1:
Starting from a PBE-relaxed structure, the powder diffractogram of TbNpSi4 was computed for λ = 1.5418 Å (Cu Kα).
Lines closer than 0.1° are merged.

Peak list (10 most intense, 10 to 90 degrees two-theta, by intensity)
Position (°2θ)	I/Imax
37.0	100
31.6	85
32.5	72
23.0	67
12.1	60
21.3	59
12.4	58
28.5	53
22.6	47
41.3	46

Structural model:
a = 8.187 Å, b = 14.579 Å, c = 3.859 Å
α = 90.00°, β = 90.00°, γ = 90.00°
Sites, in units of the cell vectors:
Tb 0.078 0.142 0.000
Tb 0.422 0.642 0.000
Tb 0.578 0.358 0.000
Tb 0.922 0.858 0.000
Np 0.092 0.436 0.000
Np 0.408 0.936 0.000
Np 0.592 0.064 0.000
Np 0.908 0.564 0.000
Si 0.005 0.708 0.500
Si 0.131 0.965 0.500
Si 0.166 0.576 0.500
Si 0.224 0.813 0.500
Si 0.276 0.313 0.500
Si 0.334 0.076 0.500
Si 0.369 0.465 0.500
Si 0.495 0.208 0.500
Si 0.505 0.792 0.500
Si 0.631 0.535 0.500
Si 0.666 0.924 0.500
Si 0.724 0.687 0.500
Si 0.776 0.187 0.500
Si 0.834 0.424 0.500
Si 0.869 0.035 0.500
Si 0.995 0.292 0.500



Entry 2:
Starting from a PBE-relaxed structure, the powder diffractogram of Np4Si6Tc7 was computed for λ = 1.5418 Å (Cu Kα).
Lines closer than 0.1° are merged.

Peak list (10 most intense, 10 to 90 degrees two-theta, by intensity)
Position (°2θ)	I/Imax
38.0	100
30.8	68
44.1	62
64.2	39
21.7	36
77.1	35
54.8	25
49.7	22
89.3	17
41.1	17

Structural model:
a = 7.110 Å, b = 7.110 Å, c = 7.110 Å
α = 109.47°, β = 109.47°, γ = 109.47°
Sites, in units of the cell vectors:
Np 0.000 0.000 0.500
Np 0.000 0.500 0.000
Np 0.500 0.000 0.000
Np 0.500 0.500 0.500
Si 0.000 0.308 0.308
Si 0.000 0.692 0.692
Si 0.308 0.000 0.308
Si 0.308 0.308 0.000
Si 0.692 0.000 0.692
Si 0.692 0.692 0.000
Tc 0.000 0.000 0.000
Tc 0.250 0.500 0.750
Tc 0.250 0.750 0.500
Tc 0.500 0.250 0.750
Tc 0.500 0.750 0.250
Tc 0.750 0.250 0.500
Tc 0.750 0.500 0.250



Entry 3:
Starting from a PBE-relaxed structure, the powder diffractogram of Np2Si4W3 was computed for λ = 1.5418 Å (Cu Kα).
Lines closer than 0.1° are merged.

Peak list (10 most intense, 10 to 90 degrees two-theta, by intensity)
Position (°2θ)	I/Imax
42.1	100
37.4	90
37.8	80
29.5	71
34.7	70
41.9	49
37.6	49
64.6	49
29.7	48
61.1	41

Structural model:
a = 6.850 Å, b = 6.876 Å, c = 6.779 Å
α = 90.00°, β = 109.73°, γ = 90.00°
Sites, in units of the cell vectors:
Np 0.183 0.161 0.056
Np 0.183 0.339 0.556
Np 0.817 0.661 0.444
Np 0.817 0.839 0.944
Si 0.089 0.543 0.870
Si 0.089 0.957 0.370
Si 0.498 0.133 0.868
Si 0.498 0.367 0.368
Si 0.502 0.633 0.632
Si 0.502 0.867 0.132
Si 0.911 0.043 0.630
Si 0.911 0.457 0.130
W 0.250 0.664 0.252
W 0.250 0.836 0.752
W 0.500 0.000 0.500
W 0.500 0.500 0.000
W 0.750 0.164 0.248
W 0.750 0.336 0.748



Entry 4:
Starting from a PBE-relaxed structure, the powder diffractogram of TbSmNp was computed for λ = 1.5418 Å (Cu Kα).
Lines closer than 0.1° are merged.

Peak list (10 most intense, 10 to 90 degrees two-theta, by intensity)
Position (°2θ)	I/Imax
32.1	100
35.1	78
33.0	66
10.6	65
28.7	38
29.7	37
41.3	36
41.0	35
60.8	32
51.1	31

Structural model:
a = 16.966 Å, b = 3.572 Å, c = 5.891 Å
α = 90.00°, β = 101.12°, γ = 90.00°
Sites, in units of the cell vectors:
Tb 0.128 0.000 0.323
Tb 0.372 0.500 0.677
Tb 0.628 0.500 0.323
Tb 0.872 0.000 0.677
Sm 0.066 0.500 0.792
Sm 0.434 0.000 0.208
Sm 0.566 0.000 0.792
Sm 0.934 0.500 0.208
Np 0.237 0.000 0.863
Np 0.263 0.500 0.137
Np 0.737 0.500 0.863
Np 0.763 0.000 0.137



Entry 5:
Starting from a PBE-relaxed structure, the powder diffractogram of Np2Zn16Sn was computed for λ = 1.5418 Å (Cu Kα).
Lines closer than 0.1° are merged.

Peak list (10 most intense, 10 to 90 degrees two-theta, by intensity)
Position (°2θ)	I/Imax
39.8	100
39.3	59
33.9	53
41.2	41
28.2	38
35.5	24
74.1	22
40.7	21
71.3	21
64.6	20

Structural model:
a = 6.870 Å, b = 6.870 Å, c = 6.870 Å
α = 83.63°, β = 83.63°, γ = 83.63°
Sites, in units of the cell vectors:
Np 0.000 0.000 0.000
Np 0.324 0.324 0.324
Zn 0.012 0.012 0.499
Zn 0.012 0.499 0.012
Zn 0.149 0.672 0.672
Zn 0.308 0.308 0.839
Zn 0.308 0.839 0.308
Zn 0.355 0.663 0.974
Zn 0.355 0.974 0.663
Zn 0.499 0.012 0.012
Zn 0.663 0.355 0.974
Zn 0.663 0.974 0.355
Zn 0.672 0.149 0.672
Zn 0.672 0.672 0.149
Zn 0.769 0.769 0.769
Zn 0.839 0.308 0.308
Zn 0.974 0.355 0.663
Zn 0.974 0.663 0.355
Sn 0.563 0.563 0.563



Entry 6:
Starting from a PBE-relaxed structure, the powder diffractogram of NpTa2Tl2Te6 was computed for λ = 1.5418 Å (Cu Kα).
Lines closer than 0.1° are merged.

Peak list (10 most intense, 10 to 90 degrees two-theta, by intensity)
Position (°2θ)	I/Imax
28.8	100
29.9	67
10.3	38
39.0	37
44.8	32
35.9	24
34.7	21
18.2	14
44.4	14
41.9	11

Structural model:
a = 6.908 Å, b = 6.908 Å, c = 8.766 Å
α = 95.31°, β = 95.31°, γ = 118.11°
Sites, in units of the cell vectors:
Np 0.000 0.000 0.000
Ta 0.372 0.628 0.000
Ta 0.628 0.372 0.000
Tl 0.174 0.826 0.500
Tl 0.826 0.174 0.500
Te 0.043 0.415 0.187
Te 0.289 0.289 0.766
Te 0.415 0.043 0.187
Te 0.585 0.957 0.813
Te 0.711 0.711 0.234
Te 0.957 0.585 0.813



Entry 7:
Starting from a PBE-relaxed structure, the powder diffractogram of TbNpTc was computed for λ = 1.5418 Å (Cu Kα).
Lines closer than 0.1° are merged.

Peak list (10 most intense, 10 to 90 degrees two-theta, by intensity)
Position (°2θ)	I/Imax
37.6	100
30.7	28
64.0	20
59.3	20
36.9	19
37.8	19
43.1	18
17.8	15
80.3	12
68.1	12

Structural model:
a = 13.043 Å, b = 13.043 Å, c = 13.043 Å
α = 25.77°, β = 25.77°, γ = 25.77°
Sites, in units of the cell vectors:
Tb 0.048 0.048 0.048
Tb 0.178 0.178 0.178
Tb 0.259 0.259 0.259
Tb 0.741 0.741 0.741
Tb 0.822 0.822 0.822
Tb 0.952 0.952 0.952
Np 0.000 0.500 0.500
Np 0.391 0.391 0.391
Np 0.500 0.000 0.500
Np 0.500 0.500 0.000
Np 0.500 0.500 0.500
Np 0.609 0.609 0.609
Tc 0.230 0.716 0.716
Tc 0.284 0.284 0.770
Tc 0.284 0.770 0.284
Tc 0.716 0.230 0.716
Tc 0.716 0.716 0.230
Tc 0.770 0.284 0.284



Entry 8:
Starting from a PBE-relaxed structure, the powder diffractogram of NpTcW2 was computed for λ = 1.5418 Å (Cu Kα).
Lines closer than 0.1° are merged.

Peak list (10 most intense, 10 to 90 degrees two-theta, by intensity)
Position (°2θ)	I/Imax
38.0	100
42.2	41
74.4	29
31.8	16
65.7	15
61.3	14
56.3	10
47.8	10
35.4	9
69.1	9

Structural model:
a = 3.026 Å, b = 3.026 Å, c = 7.608 Å
α = 90.00°, β = 90.00°, γ = 90.00°
Sites, in units of the cell vectors:
Np 0.000 0.000 0.000
Tc 0.000 0.000 0.500
W 0.500 0.500 0.285
W 0.500 0.500 0.715



Entry 9:
Starting from a PBE-relaxed structure, the powder diffractogram of Np2Zn15Tc2 was computed for λ = 1.5418 Å (Cu Kα).
Lines closer than 0.1° are merged.

Peak list (10 most intense, 10 to 90 degrees two-theta, by intensity)
Position (°2θ)	I/Imax
40.5	100
39.9	71
34.3	52
28.7	48
36.2	33
42.2	25
58.1	21
42.0	21
41.5	20
19.6	20

Structural model:
a = 6.755 Å, b = 6.755 Å, c = 6.755 Å
α = 84.06°, β = 84.06°, γ = 84.06°
Sites, in units of the cell vectors:
Np 0.160 0.160 0.160
Np 0.840 0.840 0.840
Zn 0.000 0.500 0.500
Zn 0.150 0.150 0.651
Zn 0.150 0.651 0.150
Zn 0.209 0.500 0.791
Zn 0.209 0.791 0.500
Zn 0.349 0.850 0.850
Zn 0.500 0.000 0.500
Zn 0.500 0.209 0.791
Zn 0.500 0.500 0.000
Zn 0.500 0.791 0.209
Zn 0.651 0.150 0.150
Zn 0.791 0.209 0.500
Zn 0.791 0.500 0.209
Zn 0.850 0.349 0.850
Zn 0.850 0.850 0.349
Tc 0.406 0.406 0.406
Tc 0.594 0.594 0.594



Entry 10:
Starting from a PBE-relaxed structure, the powder diffractogram of NpZn17Tc was computed for λ = 1.5418 Å (Cu Kα).
Lines closer than 0.1° are merged.

Peak list (10 most intense, 10 to 90 degrees two-theta, by intensity)
Position (°2θ)	I/Imax
39.5	100
40.2	84
45.0	80
34.0	62
13.1	56
42.2	35
41.9	35
33.0	34
36.0	32
30.0	30

Structural model:
a = 6.793 Å, b = 6.793 Å, c = 6.793 Å
α = 84.47°, β = 84.47°, γ = 84.47°
Sites, in units of the cell vectors:
Np 0.000 0.000 0.000
Zn 0.043 0.043 0.534
Zn 0.043 0.534 0.043
Zn 0.201 0.693 0.693
Zn 0.252 0.252 0.252
Zn 0.334 0.334 0.850
Zn 0.334 0.850 0.334
Zn 0.404 0.690 0.987
Zn 0.404 0.987 0.690
Zn 0.470 0.470 0.470
Zn 0.534 0.043 0.043
Zn 0.690 0.404 0.987
Zn 0.690 0.987 0.404
Zn 0.693 0.201 0.693
Zn 0.693 0.693 0.201
Zn 0.850 0.334 0.334
Zn 0.987 0.404 0.690
Zn 0.987 0.690 0.404
Tc 0.815 0.815 0.815



Entry 11:
Starting from a PBE-relaxed structure, the powder diffractogram of ZrNpTc was computed for λ = 1.5418 Å (Cu Kα).
Lines closer than 0.1° are merged.

Peak list (10 most intense, 10 to 90 degrees two-theta, by intensity)
Position (°2θ)	I/Imax
36.7	100
38.5	46
68.5	32
28.2	22
16.2	18
50.1	16
64.9	16
55.6	16
78.1	14
42.1	8

Structural model:
a = 3.304 Å, b = 3.304 Å, c = 10.922 Å
α = 90.00°, β = 90.00°, γ = 90.00°
Sites, in units of the cell vectors:
Zr 0.000 0.000 0.000
Zr 0.500 0.500 0.500
Np 0.000 0.000 0.304
Np 0.500 0.500 0.804
Tc 0.000 0.000 0.656
Tc 0.500 0.500 0.156



Entry 12:
Starting from a PBE-relaxed structure, the powder diffractogram of NpTl5Te5 was computed for λ = 1.5418 Å (Cu Kα).
Lines closer than 0.1° are merged.

Peak list (10 most intense, 10 to 90 degrees two-theta, by intensity)
Position (°2θ)	I/Imax
27.2	100
27.5	92
38.0	89
25.9	87
39.1	73
23.2	58
47.6	31
47.4	31
38.2	29
33.7	22

Structural model:
a = 8.264 Å, b = 8.264 Å, c = 9.487 Å
α = 109.60°, β = 109.60°, γ = 46.70°
Sites, in units of the cell vectors:
Np 0.000 0.000 0.000
Tl 0.000 0.000 0.500
Tl 0.306 0.306 0.692
Tl 0.336 0.336 0.180
Tl 0.664 0.664 0.820
Tl 0.694 0.694 0.308
Te 0.147 0.147 0.309
Te 0.151 0.151 0.869
Te 0.500 0.500 0.000
Te 0.849 0.849 0.131
Te 0.853 0.853 0.691